Entry 1:
Theoretical powder XRD pattern
Compound: La2SiF
Radiation: copper Kα
Structure: a structure optimized by DFT (PBE)

Top 9 peaks for 10° ≤ 2θ ≤ 90°, low angle first:
2θ = 24.9°, d 3.583, rel. 60, hkl 2 0 0
2θ = 35.4°, d 2.533, rel. 100, hkl 2 2 0
2θ = 43.8°, d 2.068, rel. 18, hkl 2 2 2
2θ = 51.0°, d 1.791, rel. 17, hkl 4 0 0
2θ = 57.5°, d 1.602, rel. 25, hkl 4 2 0
2θ = 63.6°, d 1.463, rel. 35, hkl 4 2 2
2θ = 75.0°, d 1.267, rel. 11, hkl 4 4 0
2θ = 80.4°, d 1.194, rel. 12, hkl 6 0 0
2θ = 85.8°, d 1.133, rel. 15, hkl 6 2 0

Structural model:
Unit cell a=7.165 b=7.165 c=7.165 alpha=90.00 beta=90.00 gamma=90.00
Space group Fm-3m (No. 225)
Asymmetric unit:
La  0.250  0.250  0.250 x8
Si  0.000  0.000  0.000 x4
F  0.000  0.000  0.500 x4


Entry 2:
Theoretical powder XRD pattern
Compound: La4Si2F5
Radiation: copper Kα
Structure: a structure optimized by DFT (PBE)

Top 10 peaks for 10° ≤ 2θ ≤ 90°, low angle first:
2θ = 18.9°, d 4.700, rel. 42, hkl 2 0 1
2θ = 20.2°, d 4.387, rel. 100, hkl 4 0 0
2θ = 25.1°, d 3.546, rel. 43, hkl 1 1 -1
2θ = 26.3°, d 3.388, rel. 41, hkl 0 0 2
2θ = 26.6°, d 3.352, rel. 49, hkl 3 1 0
2θ = 27.5°, d 3.244, rel. 53, hkl 3 1 -1
2θ = 27.8°, d 3.209, rel. 39, hkl 4 0 -2
2θ = 33.5°, d 2.676, rel. 36, hkl 1 1 -2
2θ = 34.1°, d 2.629, rel. 45, hkl 3 1 -2
2θ = 37.1°, d 2.424, rel. 39, hkl 6 0 1

Structural model:
Unit cell a=18.471 b=4.091 c=7.131 alpha=90.00 beta=108.17 gamma=90.00
Space group C2/m (No. 12)
Asymmetric unit:
La  0.029  0.000  0.279 x4
La  0.219  0.500  0.221 x4
Si  0.063  0.500  0.010 x4
F  0.000  0.500  0.500 x2
F  0.192  0.000  0.428 x4
F  0.232  0.500  0.869 x4


Entry 3:
Theoretical powder XRD pattern
Compound: LaSnF
Radiation: copper Kα
Structure: a structure optimized by DFT (PBE)

Top 10 peaks for 10° ≤ 2θ ≤ 90°, low angle first:
2θ = 21.6°, d 4.118, rel. 16, hkl 1 0 1
2θ = 27.3°, d 3.271, rel. 16, hkl 1 1 0
2θ = 29.8°, d 2.998, rel. 42, hkl 0 0 2
2θ = 31.1°, d 2.871, rel. 20, hkl 1 1 1
2θ = 31.6°, d 2.833, rel. 18, hkl 2 0 0
2θ = 35.0°, d 2.561, rel. 100, hkl 2 0 1
2θ = 44.0°, d 2.059, rel. 15, hkl 2 0 2
2θ = 56.3°, d 1.634, rel. 43, hkl 2 2 0
2θ = 65.0°, d 1.436, rel. 22, hkl 2 2 2
2θ = 88.5°, d 1.105, rel. 18, hkl 2 2 4

Structural model:
Unit cell a=6.5416 b=6.5416 c=5.9967 alpha=90.00 beta=90.00 gamma=120.00
Space group P-62m (No. 189)
Asymmetric unit:
La  0.0000  0.0000  0.0000 x1
La  0.3333  0.6667  0.5000 x2
Sn  0.0000  0.5144  0.0000 x3
F  0.0000  0.2766  0.5000 x3


Entry 4:
Theoretical powder XRD pattern
Compound: SrLa5F17
Radiation: copper Kα
Structure: a structure optimized by DFT (PBE)

Top 10 peaks for 10° ≤ 2θ ≤ 90°, low angle first:
2θ = 24.1°, d 3.694, rel. 60, hkl 0 0 2
2θ = 24.4°, d 3.651, rel. 34, hkl 1 -1 0
2θ = 27.2°, d 3.273, rel. 100, hkl 1 2 1
2θ = 27.7°, d 3.224, rel. 55, hkl 2 1 -1
2θ = 42.6°, d 2.121, rel. 26, hkl 0 3 0
2θ = 43.5°, d 2.082, rel. 47, hkl 3 3 0
2θ = 44.3°, d 2.043, rel. 41, hkl 1 2 3
2θ = 49.6°, d 1.839, rel. 18, hkl 0 3 2
2θ = 50.3°, d 1.815, rel. 25, hkl 3 3 2
2θ = 51.6°, d 1.773, rel. 16, hkl -2 2 1

Structural model:
Unit cell a=7.168 b=7.301 c=7.389 alpha=89.85 beta=89.86 gamma=60.63
Space group P1 (No. 1)
Asymmetric unit:
Sr  0.000  0.000  0.000 x1
La  0.008  0.346  0.465 x1
La  0.325  0.330  0.965 x1
La  0.353  0.654  0.466 x1
La  0.655  0.674  0.965 x1
La  0.661  0.999  0.469 x1
F  0.010  0.669  0.511 x1
F  0.057  0.279  0.147 x1
F  0.311  0.655  0.789 x1
F  0.322  0.001  0.450 x1
F  0.338  0.369  0.300 x1
F  0.339  0.721  0.147 x1
F  0.343  0.001  0.895 x1
F  0.345  0.297  0.638 x1
F  0.623  0.003  0.136 x1
F  0.637  0.703  0.639 x1
F  0.648  0.351  0.004 x1
F  0.681  0.330  0.507 x1
F  0.708  0.634  0.301 x1
F  0.748  0.996  0.773 x1
F  0.970  0.353  0.789 x1
F  0.977  0.998  0.352 x1
F  0.998  0.652  0.014 x1


Entry 5:
Theoretical powder XRD pattern
Compound: Sr3LaF8
Radiation: copper Kα
Structure: a structure optimized by DFT (PBE)

Top 10 peaks for 10° ≤ 2θ ≤ 90°, low angle first:
2θ = 26.2°, d 3.400, rel. 100, hkl 1 1 1
2θ = 30.4°, d 2.944, rel. 18, hkl 2 0 0
2θ = 43.5°, d 2.082, rel. 72, hkl 2 2 0
2θ = 51.5°, d 1.775, rel. 46, hkl 3 1 1
2θ = 53.9°, d 1.700, rel. 6, hkl 2 2 2
2θ = 63.2°, d 1.472, rel. 11, hkl 4 0 0
2θ = 69.6°, d 1.351, rel. 19, hkl 3 3 1
2θ = 71.7°, d 1.317, rel. 8, hkl 4 2 0
2θ = 79.8°, d 1.202, rel. 21, hkl 4 2 2
2θ = 85.7°, d 1.133, rel. 14, hkl 5 1 1

Structural model:
Unit cell a=5.888 b=5.888 c=5.888 alpha=90.00 beta=90.00 gamma=90.00
Space group Pm-3m (No. 221)
Asymmetric unit:
Sr  0.000  0.000  0.500 x3
La  0.500  0.500  0.500 x1
F  0.250  0.250  0.250 x8


Entry 6:
Theoretical powder XRD pattern
Compound: LaTbF6
Radiation: copper Kα
Structure: a structure optimized by DFT (PBE)

Top 10 peaks for 10° ≤ 2θ ≤ 90°, low angle first:
2θ = 22.8°, d 3.900, rel. 100, hkl 1 1 0
2θ = 27.3°, d 3.264, rel. 99, hkl 1 0 2
2θ = 32.5°, d 2.758, rel. 17, hkl 2 0 0
2θ = 42.9°, d 2.106, rel. 80, hkl 2 1 2
2θ = 46.6°, d 1.950, rel. 22, hkl 2 2 0
2θ = 50.8°, d 1.797, rel. 23, hkl 1 1 4
2θ = 52.5°, d 1.744, rel. 18, hkl 1 3 0
2θ = 54.8°, d 1.674, rel. 24, hkl 3 0 2
2θ = 56.4°, d 1.632, rel. 15, hkl 2 0 4
2θ = 65.2°, d 1.431, rel. 16, hkl 3 2 2

Structural model:
Unit cell a=5.515 b=5.515 c=8.097 alpha=90.00 beta=90.00 gamma=90.00
Space group P4_2/m (No. 84)
Asymmetric unit:
La  0.000  0.000  0.000 x2
Tb  0.500  0.500  0.250 x2
F  0.203  0.249  0.183 x8
F  0.314  0.338  0.500 x4


Entry 7:
Theoretical powder XRD pattern
Compound: La2ThF11
Radiation: copper Kα
Structure: a structure optimized by DFT (PBE)

Top 10 peaks for 10° ≤ 2θ ≤ 90°, low angle first:
2θ = 13.0°, d 6.826, rel. 49, hkl 1 1 0
2θ = 20.0°, d 4.434, rel. 100, hkl 1 1 2
2θ = 20.8°, d 4.270, rel. 22, hkl 1 2 1
2θ = 22.5°, d 3.949, rel. 69, hkl 0 2 2
2θ = 23.0°, d 3.859, rel. 32, hkl 2 1 1
2θ = 25.3°, d 3.524, rel. 30, hkl 2 0 2
2θ = 26.1°, d 3.413, rel. 21, hkl 2 2 0
2θ = 40.7°, d 2.217, rel. 24, hkl 2 2 4
2θ = 41.2°, d 2.190, rel. 26, hkl 1 3 4
2θ = 42.7°, d 2.120, rel. 36, hkl 3 3 2

Structural model:
Unit cell a=8.845 b=10.732 c=11.666 alpha=90.00 beta=90.00 gamma=90.00
Space group Ibam (No. 72)
Asymmetric unit:
La  0.167  0.192  0.000 x8
Th  0.000  0.500  0.250 x4
F  0.000  0.000  0.000 x4
F  0.095  0.333  0.143 x16
F  0.107  0.183  0.500 x8
F  0.199  0.424  0.364 x16


Entry 8:
Theoretical powder XRD pattern
Compound: La2ThF
Radiation: copper Kα
Structure: a structure optimized by DFT (PBE)

Top 10 peaks for 10° ≤ 2θ ≤ 90°, low angle first:
2θ = 27.5°, d 3.238, rel. 32, hkl 1 0 1
2θ = 30.1°, d 2.974, rel. 32, hkl 0 0 9
2θ = 30.5°, d 2.932, rel. 100, hkl 1 0 4
2θ = 32.1°, d 2.785, rel. 53, hkl 0 1 5
2θ = 38.5°, d 2.335, rel. 33, hkl 0 1 8
2θ = 48.3°, d 1.883, rel. 33, hkl 1 1 0
2θ = 52.6°, d 1.741, rel. 22, hkl 1 0 13
2θ = 58.0°, d 1.591, rel. 31, hkl 1 1 9
2θ = 58.2°, d 1.585, rel. 16, hkl 0 2 4
2θ = 79.0°, d 1.212, rel. 13, hkl 2 1 4

Structural model:
Unit cell a=3.7665 b=3.7665 c=26.7624 alpha=90.00 beta=90.00 gamma=120.00
Space group R-3m (No. 166, hexagonal axes)
Asymmetric unit:
La  0.0000  0.0000  0.2286 x6
Th  0.0000  0.0000  0.0000 x3
F  0.0000  0.0000  0.5000 x3


Entry 9:
Theoretical powder XRD pattern
Compound: LaTl2F11
Radiation: copper Kα
Structure: a structure optimized by DFT (PBE)

Top 10 peaks for 10° ≤ 2θ ≤ 90°, low angle first:
2θ = 15.4°, d 5.737, rel. 59, hkl 0 0 2
2θ = 20.5°, d 4.322, rel. 84, hkl 1 1 2
2θ = 21.4°, d 4.159, rel. 65, hkl 1 2 1
2θ = 22.9°, d 3.879, rel. 100, hkl 0 2 2
2θ = 24.1°, d 3.698, rel. 94, hkl 2 1 1
2θ = 26.3°, d 3.393, rel. 34, hkl 2 0 2
2θ = 41.8°, d 2.161, rel. 26, hkl 2 2 4
2θ = 42.1°, d 2.147, rel. 30, hkl 1 3 4
2θ = 43.1°, d 2.100, rel. 35, hkl 1 4 3
2θ = 44.3°, d 2.047, rel. 52, hkl 3 3 2

Structural model:
Unit cell a=8.415 b=10.527 c=11.474 alpha=90.00 beta=90.00 gamma=90.00
Space group Ibam (No. 72)
Asymmetric unit:
La  0.000  0.000  0.250 x4
Tl  0.167  0.308  0.000 x8
F  0.000  0.500  0.000 x4
F  0.103  0.313  0.500 x8
F  0.105  0.176  0.139 x16
F  0.215  0.077  0.370 x16


Entry 10:
Theoretical powder XRD pattern
Compound: LaTl3F6
Radiation: copper Kα
Structure: a structure optimized by DFT (PBE)

Top 10 peaks for 10° ≤ 2θ ≤ 90°, low angle first:
2θ = 15.2°, d 5.810, rel. 14, hkl 1 1 0
2θ = 22.6°, d 3.930, rel. 19, hkl 2 0 2
2θ = 26.2°, d 3.401, rel. 100, hkl 1 1 3
2θ = 26.6°, d 3.355, rel. 90, hkl 3 0 0
2θ = 37.7°, d 2.388, rel. 53, hkl 2 2 3
2θ = 46.0°, d 1.973, rel. 17, hkl 1 1 6
2θ = 46.7°, d 1.946, rel. 38, hkl 1 4 3
2θ = 46.9°, d 1.937, rel. 21, hkl 3 3 0
2θ = 53.9°, d 1.700, rel. 14, hkl 2 2 6
2θ = 61.1°, d 1.517, rel. 15, hkl 1 4 6

Structural model:
Unit cell a=11.6205 b=11.6205 c=12.5827 alpha=90.00 beta=90.00 gamma=120.00
Space group R-3c (No. 167, hexagonal axes)
Asymmetric unit:
La  0.0000  0.0000  0.0000 x6
Tl  0.0000  0.3137  0.2500 x18
F  0.0468  0.1894  0.4009 x36


Entry 11:
Theoretical powder XRD pattern
Compound: LaU2F11
Radiation: copper Kα
Structure: a structure optimized by DFT (PBE)

Top 10 peaks for 10° ≤ 2θ ≤ 90°, low angle first:
2θ = 15.4°, d 5.740, rel. 55, hkl 0 0 2
2θ = 20.4°, d 4.343, rel. 77, hkl 1 1 2
2θ = 21.2°, d 4.198, rel. 67, hkl 1 2 1
2θ = 22.8°, d 3.902, rel. 73, hkl 0 2 2
2θ = 23.8°, d 3.734, rel. 100, hkl 2 1 1
2θ = 32.6°, d 2.748, rel. 28, hkl 2 1 3
2θ = 41.9°, d 2.158, rel. 31, hkl 1 3 4
2θ = 42.7°, d 2.115, rel. 27, hkl 1 4 3
2θ = 43.8°, d 2.066, rel. 45, hkl 3 3 2
2θ = 45.8°, d 1.983, rel. 27, hkl 2 1 5

Structural model:
Unit cell a=8.504 b=10.640 c=11.479 alpha=90.00 beta=90.00 gamma=90.00
Space group Ibam (No. 72)
Asymmetric unit:
La  0.000  0.000  0.250 x4
U  0.147  0.318  0.000 x8
F  0.000  0.500  0.000 x4
F  0.093  0.179  0.138 x16
F  0.129  0.284  0.500 x8
F  0.225  0.073  0.366 x16